[1]
Structure and computed PXRD pattern of BaAgPb2 (the PBE geometry in OQMD; copper Kα).
No peak broadening, texture or thermal motion is included.

Top 6 peaks for 15 to 90 degrees two-theta, sorted by position:
- 28.32°, 3.151 Å, I 1000
- 31.11°, 2.875 Å, I 224
- 35.85°, 2.505 Å, I 286
- 36.31°, 2.474 Å, I 276
- 39.25°, 2.295 Å, I 309
- 51.95°, 1.760 Å, I 199

Crystal structure
a b c (Å): 10.8889 10.8889 4.9481
angles (deg): 90.00 90.00 153.40
Fractional coordinates of all 8 atoms:
Ba: 0.1067 0.8933 0.7500
Ba: 0.8933 0.1067 0.2500
Ag: 0.3269 0.6731 0.7500
Ag: 0.6731 0.3269 0.2500
Pb: 0.2492 0.7508 0.2500
Pb: 0.4598 0.5402 0.7500
Pb: 0.5402 0.4598 0.2500
Pb: 0.7508 0.2492 0.7500



[2]
Structure and computed PXRD pattern of SmSnSbPd2 (the PBE geometry in OQMD; copper Kα).
No peak broadening, texture or thermal motion is included.

Top 6 peaks for 15 to 90 degrees two-theta, sorted by position:
- 31.38°, 2.851 Å, I 504
- 32.69°, 2.739 Å, I 1000
- 40.56°, 2.224 Å, I 622
- 43.40°, 2.085 Å, I 267
- 45.53°, 1.992 Å, I 277
- 52.16°, 1.754 Å, I 239

Crystal structure
a b c (Å): 4.4485 4.4485 11.1404
angles (deg): 90.00 90.00 90.00
Fractional coordinates of all 10 atoms:
Sm: 0.2500 0.2500 0.2363
Sm: 0.7500 0.7500 0.7637
Sn: 0.2500 0.7500 0.5000
Sn: 0.7500 0.2500 0.5000
Sb: 0.2500 0.2500 0.8668
Sb: 0.7500 0.7500 0.1332
Pd: 0.2500 0.2500 0.6371
Pd: 0.2500 0.7500 0.0000
Pd: 0.7500 0.2500 0.0000
Pd: 0.7500 0.7500 0.3629



[3]
Structure and computed PXRD pattern of MgZn (the PBE geometry in OQMD; copper Kα).
No peak broadening, texture or thermal motion is included.

Top 6 peaks for 15 to 90 degrees two-theta, sorted by position:
- 35.20°, 2.549 Å, I 259
- 37.98°, 2.369 Å, I 266
- 40.16°, 2.245 Å, I 1000
- 52.75°, 1.735 Å, I 156
- 70.08°, 1.343 Å, I 176
- 76.14°, 1.250 Å, I 170

Crystal structure
a b c (Å): 4.7382 8.8356 5.0967
angles (deg): 90.00 90.00 90.00
Fractional coordinates of all 12 atoms:
Mg: 0.0000 0.0791 0.0000
Mg: 0.0000 0.2667 0.5302
Mg: 0.0000 0.7333 0.0302
Mg: 0.0000 0.9209 0.5000
Mg: 0.5000 0.2531 0.1698
Mg: 0.5000 0.7469 0.6698
Zn: 0.0000 0.4179 0.0248
Zn: 0.0000 0.5821 0.5248
Zn: 0.5000 0.0842 0.6612
Zn: 0.5000 0.4235 0.6970
Zn: 0.5000 0.5765 0.1970
Zn: 0.5000 0.9158 0.1612



[4]
Structure and computed PXRD pattern of Sc2ReBi (the PBE geometry in OQMD; copper Kα).
No peak broadening, texture or thermal motion is included.

Top 6 peaks for 15 to 90 degrees two-theta, sorted by position:
- 22.65°, 3.926 Å, I 455
- 37.41°, 2.404 Å, I 1000
- 44.17°, 2.050 Å, I 257
- 53.94°, 1.700 Å, I 174
- 59.23°, 1.560 Å, I 113
- 67.48°, 1.388 Å, I 354

Crystal structure
a b c (Å): 4.8082 4.8082 4.8082
angles (deg): 60.00 60.00 60.00
Fractional coordinates of all 4 atoms:
Sc: 0.0000 0.0000 0.0000
Sc: 0.2500 0.2500 0.2500
Re: 0.7500 0.7500 0.7500
Bi: 0.5000 0.5000 0.5000